[1]
Simulated powder diffractogram of Li3Np3AsS8 for Cu Ka, from a structure optimized by DFT (GGA-PBE).

Top 10 peaks for 2θ = 10–90°, in order of rising 2θ:
- 2θ = 14.6°, rel. 100.0
- 2θ = 26.8°, rel. 70.0
- 2θ = 28.1°, rel. 28.9
- 2θ = 32.9°, rel. 81.2
- 2θ = 36.2°, rel. 30.9
- 2θ = 43.8°, rel. 20.9
- 2θ = 46.4°, rel. 30.6
- 2θ = 48.1°, rel. 27.5
- 2θ = 48.9°, rel. 29.3
- 2θ = 58.1°, rel. 15.6

Atomic structure:
```
Li3Np3AsS8
1.0
3.9122 2.2587 6.0811
-3.9122 2.2587 6.0811
0.0000 -4.5174 6.0811
Li Np As S
3 3 1 8
direct
0.0000 0.5000 0.5000
0.5000 0.0000 0.5000
0.5000 0.5000 0.0000
0.0000 0.0000 0.5000
0.0000 0.5000 0.0000
0.5000 0.0000 0.0000
0.5000 0.5000 0.5000
0.2507 0.2507 0.2507
0.2611 0.2611 0.7390
0.2611 0.7390 0.2611
0.2610 0.7389 0.7389
0.7390 0.2611 0.2611
0.7389 0.2610 0.7389
0.7389 0.7389 0.2610
0.7493 0.7493 0.7493
```


[2]
Simulated powder diffractogram of Li2As2O5 for Cu Ka, from a structure optimized by DFT (GGA-PBE).

Top 10 peaks for 2θ = 10–90°, in order of rising 2θ:
- 2θ = 18.5°, rel. 100.0
- 2θ = 22.6°, rel. 79.8
- 2θ = 23.5°, rel. 74.5
- 2θ = 26.0°, rel. 19.8
- 2θ = 31.9°, rel. 49.1
- 2θ = 33.8°, rel. 16.3
- 2θ = 34.3°, rel. 74.6
- 2θ = 44.2°, rel. 28.0
- 2θ = 49.5°, rel. 18.2
- 2θ = 61.4°, rel. 17.3

Atomic structure:
```
Li2As2O5
1.0
5.3506 0.0000 0.0000
0.0000 3.0181 0.0000
-1.6447 0.0000 7.5634
Li As O
2 2 5
direct
0.0000 0.0000 0.0000
0.3104 0.5000 0.3236
0.4009 0.5000 0.8027
0.8547 0.0000 0.3856
0.0805 0.0000 0.2533
0.1542 0.5000 0.9049
0.3476 0.5000 0.5847
0.5945 0.0000 0.8838
0.6584 0.5000 0.2776
```


[3]
Simulated powder diffractogram of Li2AsO4 for Cu Ka, from a structure optimized by DFT (GGA-PBE).

Top 10 peaks for 2θ = 10–90°, in order of rising 2θ:
- 2θ = 16.2°, rel. 100.0
- 2θ = 19.5°, rel. 22.5
- 2θ = 20.4°, rel. 42.5
- 2θ = 23.5°, rel. 29.9
- 2θ = 25.5°, rel. 42.7
- 2θ = 26.1°, rel. 18.0
- 2θ = 32.9°, rel. 24.4
- 2θ = 37.7°, rel. 24.8
- 2θ = 38.4°, rel. 14.3
- 2θ = 57.4°, rel. 12.5

Atomic structure:
```
Li2AsO4
1.0
4.3533 -5.4801 0.0000
4.3533 5.4801 0.0000
0.0000 0.0000 9.0820
Li As O
8 4 16
direct
0.0382 0.5382 0.2500
0.0908 0.9092 0.7500
0.4092 0.5908 0.7500
0.4618 0.9618 0.2500
0.5382 0.0382 0.7500
0.5908 0.4092 0.2500
0.9092 0.0908 0.2500
0.9618 0.4618 0.7500
0.2500 0.2500 0.0438
0.2500 0.2500 0.5438
0.7500 0.7500 0.4562
0.7500 0.7500 0.9562
0.0706 0.1236 0.4247
0.0809 0.3291 0.1485
0.1236 0.0706 0.9247
0.1709 0.4191 0.6485
0.3291 0.0809 0.6485
0.3764 0.4294 0.9247
0.4191 0.1709 0.1485
0.4294 0.3764 0.4247
0.5706 0.6236 0.5753
0.5809 0.8291 0.8515
0.6236 0.5706 0.0753
0.6709 0.9191 0.3515
0.8291 0.5809 0.3515
0.8764 0.9294 0.0753
0.9191 0.6709 0.8515
0.9294 0.8764 0.5753
```


[4]
Simulated powder diffractogram of LiAsO4 for Cu Ka, from a structure optimized by DFT (GGA-PBE).

Top 10 peaks for 2θ = 10–90°, in order of rising 2θ:
- 2θ = 15.7°, rel. 100.0
- 2θ = 27.6°, rel. 39.9
- 2θ = 28.6°, rel. 46.4
- 2θ = 35.0°, rel. 20.4
- 2θ = 37.3°, rel. 13.5
- 2θ = 40.5°, rel. 8.0
- 2θ = 49.6°, rel. 20.9
- 2θ = 50.4°, rel. 7.9
- 2θ = 57.0°, rel. 7.6
- 2θ = 59.1°, rel. 7.6

Atomic structure:
```
LiAsO4
1.0
5.6497 -2.4280 0.0000
5.6497 2.4280 0.0000
-0.3810 0.0000 4.5256
Li As O
2 2 8
direct
0.2127 0.7873 0.7500
0.7873 0.2127 0.2500
0.0000 0.5000 0.0000
0.5000 0.0000 0.5000
0.0848 0.1535 0.9784
0.1535 0.0848 0.4784
0.3257 0.3373 0.7620
0.3373 0.3257 0.2620
0.6627 0.6743 0.7380
0.6743 0.6627 0.2380
0.8465 0.9152 0.5216
0.9152 0.8465 0.0216
```


[5]
Simulated powder diffractogram of Li2Ti2AsPO10 for Cu Ka, from a structure optimized by DFT (GGA-PBE).

Top 10 peaks for 2θ = 10–90°, in order of rising 2θ:
- 2θ = 16.7°, rel. 25.8
- 2θ = 21.5°, rel. 21.1
- 2θ = 26.4°, rel. 100.0
- 2θ = 26.6°, rel. 38.1
- 2θ = 27.2°, rel. 71.6
- 2θ = 30.0°, rel. 28.4
- 2θ = 32.1°, rel. 20.7
- 2θ = 38.5°, rel. 31.6
- 2θ = 56.8°, rel. 23.1
- 2θ = 71.0°, rel. 17.8

Atomic structure:
```
Li2Ti2AsPO10
1.0
6.5465 0.0000 0.0000
0.0000 7.4603 0.0000
0.0000 0.0000 7.5786
Li Ti As P O
4 4 2 2 20
direct
0.2382 0.2384 0.0000
0.2382 0.7616 0.5000
0.7618 0.2384 0.0000
0.7618 0.7616 0.5000
0.0000 0.4705 0.3350
0.0000 0.5295 0.8350
0.5000 0.0300 0.6679
0.5000 0.9700 0.1679
0.5000 0.3804 0.3760
0.5000 0.6196 0.8760
0.0000 0.1282 0.6292
0.0000 0.8718 0.1292
0.0000 0.2450 0.4599
0.0000 0.2493 0.7967
0.0000 0.3941 0.1209
0.0000 0.6059 0.6209
0.0000 0.7507 0.2967
0.0000 0.7550 0.9599
0.1919 0.0061 0.6290
0.1919 0.9939 0.1290
0.2936 0.4805 0.8753
0.2936 0.5195 0.3753
0.5000 0.0801 0.8913
0.5000 0.2452 0.1912
0.5000 0.2661 0.5715
0.5000 0.7339 0.0715
0.5000 0.7548 0.6912
0.5000 0.9199 0.3913
0.7064 0.4805 0.8753
0.7064 0.5195 0.3753
0.8081 0.0061 0.6290
0.8081 0.9939 0.1290
```